Record 1
For Nd2TeO6, a DFT-relaxed cell (GGA-PBE, OQMD) gives the theoretical powder X-ray diffraction pattern in this record (a wavelength of 1.5418 Å).
Kinematic intensities with the Lorentz-polarization factor, no thermal factor.

Principal peaks in the range 2θ from 10° to 80°, sorted by position:
h k l	d (Å)	I/Imax
1 2 0	3.531	44
1 1 2	3.449	83
1 2 1	3.336	100
0 3 1	2.966	30
1 1 3	2.750	57
2 0 0	2.713	34

Cell: 5.426 9.301 10.188 Å, 90.00 90.00 90.00°
Space group P2_12_12_1 (No. 19)
Asymmetric unit:
1 Nd 0.027 0.104 0.460 (multiplicity 4)
2 Nd 0.032 0.217 0.863 (multiplicity 4)
3 Te 0.043 0.496 0.356 (multiplicity 4)
4 O 0.067 0.851 0.020 (multiplicity 4)
5 O 0.169 0.946 0.287 (multiplicity 4)
6 O 0.183 0.637 0.241 (multiplicity 4)
7 O 0.192 0.641 0.824 (multiplicity 4)
8 O 0.222 0.112 0.065 (multiplicity 4)
9 O 0.249 0.413 0.991 (multiplicity 4)

Record 2
For NdTl2O4, a DFT-relaxed cell (GGA-PBE, OQMD) gives the theoretical powder X-ray diffraction pattern in this record (a wavelength of 1.5418 Å).
Kinematic intensities with the Lorentz-polarization factor, no thermal factor.

Principal peaks in the range 2θ from 10° to 80°, sorted by position:
h k l	d (Å)	I/Imax
1 1 1	5.683	18
3 1 1	2.968	100
2 2 2	2.841	36
5 1 1	1.894	39
4 4 0	1.740	43
5 5 3	1.281	23

Cell: 9.842 9.842 9.842 Å, 90.00 90.00 90.00°
Space group Fd-3m (No. 227, origin choice 2)
Asymmetric unit:
1 Nd 0.125 0.125 0.125 (multiplicity 8)
2 Tl 0.000 0.000 0.500 (multiplicity 16)
3 O 0.008 0.008 0.742 (multiplicity 32)

Record 3
For NdTlO3, a DFT-relaxed cell (GGA-PBE, OQMD) gives the theoretical powder X-ray diffraction pattern in this record (a wavelength of 1.5418 Å).
Kinematic intensities with the Lorentz-polarization factor, no thermal factor.

Principal peaks in the range 2θ from 10° to 80°, sorted by position:
h k l	d (Å)	I/Imax
1 0 1	3.160	100
0 0 2	2.743	13
1 1 0	2.733	34
2 0 0	1.935	46
1 0 3	1.653	14
2 1 1	1.649	31

Cell: 3.865 3.865 5.486 Å, 90.00 90.00 90.00°
Space group P4mm (No. 99)
Asymmetric unit:
1 Nd 0.000 0.000 0.000 (multiplicity 1)
2 Tl 0.500 0.500 0.558 (multiplicity 1)
3 O 0.000 0.500 0.759 (multiplicity 2)
4 O 0.500 0.500 0.172 (multiplicity 1)

Record 4
For Nd3TmO6, a DFT-relaxed cell (GGA-PBE, OQMD) gives the theoretical powder X-ray diffraction pattern in this record (a wavelength of 1.5418 Å).
Kinematic intensities with the Lorentz-polarization factor, no thermal factor.

Principal peaks in the range 2θ from 10° to 80°, sorted by position:
h k l	d (Å)	I/Imax
2 0 2	3.438	47
2 1 1	3.118	100
1 1 3	3.033	45
3 -2 2	2.823	95
2 1 4	2.152	38
1 4 0	1.870	42

Cell: 9.8966 9.8966 11.5185 Å, 90.00 90.00 120.00°
Space group R-3 (No. 148, hexagonal axes)
Asymmetric unit:
1 Nd 0.0391 0.2662 0.2086 (multiplicity 18)
2 Tm 0.0000 0.0000 0.0000 (multiplicity 3)
3 Tm 0.0000 0.0000 0.5000 (multiplicity 3)
4 O 0.0275 0.1846 0.8773 (multiplicity 18)
5 O 0.0286 0.2119 0.4051 (multiplicity 18)

Record 5
For NdYO4, a DFT-relaxed cell (GGA-PBE, OQMD) gives the theoretical powder X-ray diffraction pattern in this record (a wavelength of 1.5418 Å).
Kinematic intensities with the Lorentz-polarization factor, no thermal factor.

Principal peaks in the range 2θ from 10° to 80°, sorted by position:
h k l	d (Å)	I/Imax
2 0 0	3.383	32
0 0 2	3.113	44
1 1 -1	3.003	100
1 1 1	2.860	29
2 0 1	2.834	29
3 1 0	1.941	30

Cell: 6.816 3.809 6.271 Å, 90.00 96.87 90.00°
Space group Cm (No. 8)
Asymmetric unit:
1 Nd 0.000 0.000 0.000 (multiplicity 2)
2 Y 0.125 0.500 0.539 (multiplicity 2)
3 O 0.163 0.500 0.905 (multiplicity 2)
4 O 0.222 0.000 0.341 (multiplicity 2)
5 O 0.395 0.000 0.217 (multiplicity 2)
6 O 0.459 0.500 0.615 (multiplicity 2)

Record 6
For Nd2Os, a DFT-relaxed cell (GGA-PBE, OQMD) gives the theoretical powder X-ray diffraction pattern in this record (a wavelength of 1.5418 Å).
Kinematic intensities with the Lorentz-polarization factor, no thermal factor.

Principal peaks in the range 2θ from 10° to 80°, sorted by position:
h k l	d (Å)	I/Imax
1 1 1	4.016	36
2 2 0	2.459	100
3 1 1	2.097	19
4 0 0	1.739	18
4 2 2	1.420	36
4 4 0	1.230	11

Cell: 6.955 6.955 6.955 Å, 90.00 90.00 90.00°
Space group Fm-3m (No. 225)
Asymmetric unit:
1 Nd 0.250 0.250 0.250 (multiplicity 8)
2 Os 0.000 0.000 0.000 (multiplicity 4)

Record 7
For Pr2Nd3Os3, a DFT-relaxed cell (GGA-PBE, OQMD) gives the theoretical powder X-ray diffraction pattern in this record (a wavelength of 1.5418 Å).
Kinematic intensities with the Lorentz-polarization factor, no thermal factor.

Principal peaks in the range 2θ from 10° to 80°, sorted by position:
h k l	d (Å)	I/Imax
0 0 3	8.064	61
1 0 7	2.783	100
1 1 0	2.709	33
0 2 1	2.335	42
0 2 4	2.187	49
2 1 7	1.578	36

Cell: 5.4175 5.4175 24.1928 Å, 90.00 90.00 120.00°
Space group R-3m (No. 166, hexagonal axes)
Asymmetric unit:
1 Pr 0.0000 0.0000 0.2172 (multiplicity 6)
2 Nd 0.0000 0.0000 0.0650 (multiplicity 6)
3 Nd 0.0000 0.0000 0.5000 (multiplicity 3)
4 Os 0.0000 0.5000 0.0000 (multiplicity 9)

Record 8
For Pr3Nd3Te2Os, a DFT-relaxed cell (GGA-PBE, OQMD) gives the theoretical powder X-ray diffraction pattern in this record (a wavelength of 1.5418 Å).
Kinematic intensities with the Lorentz-polarization factor, no thermal factor.

Principal peaks in the range 2θ from 10° to 80°, sorted by position:
h k l	d (Å)	I/Imax
1 1 1	2.974	83
2 1 0	2.845	58
2 0 1	2.766	100
3 0 0	2.509	42
2 1 1	2.333	52
3 2 1	1.590	40

Cell: 8.6922 8.6922 4.0779 Å, 90.00 90.00 120.00°
Space group P-62m (No. 189)
Asymmetric unit:
1 Pr 0.0000 0.4043 0.0000 (multiplicity 3)
2 Nd 0.0000 0.7598 0.5000 (multiplicity 3)
3 Te 0.3333 0.6667 0.5000 (multiplicity 2)
4 Os 0.0000 0.0000 0.0000 (multiplicity 1)

Record 9
For Nd2PPd8, a DFT-relaxed cell (GGA-PBE, OQMD) gives the theoretical powder X-ray diffraction pattern in this record (a wavelength of 1.5418 Å).
Kinematic intensities with the Lorentz-polarization factor, no thermal factor.

Principal peaks in the range 2θ from 10° to 80°, sorted by position:
h k l	d (Å)	I/Imax
1 3 1	2.930	33
0 0 2	2.678	16
1 5 1	2.435	100
1 0 2	2.284	48
0 8 0	2.193	15
2 0 0	2.182	36

Cell: 4.363 17.545 5.356 Å, 90.00 90.00 90.00°
Space group Amm2 (No. 38)
Asymmetric unit:
1 Nd 0.000 0.125 0.000 (multiplicity 4)
2 P 0.500 0.000 0.277 (multiplicity 2)
3 Pd 0.000 0.000 0.483 (multiplicity 2)
4 Pd 0.000 0.202 0.499 (multiplicity 4)
5 Pd 0.500 0.000 0.855 (multiplicity 2)
6 Pd 0.500 0.111 0.493 (multiplicity 4)
7 Pd 0.500 0.247 0.757 (multiplicity 4)

Record 10
For PrNd3P4, a DFT-relaxed cell (GGA-PBE, OQMD) gives the theoretical powder X-ray diffraction pattern in this record (a wavelength of 1.5418 Å).
Kinematic intensities with the Lorentz-polarization factor, no thermal factor.

Principal peaks in the range 2θ from 10° to 80°, sorted by position:
h k l	d (Å)	I/Imax
2 2 0	3.408	79
2 0 1	2.952	100
4 0 0	2.087	74
4 2 1	1.780	39
4 4 0	1.704	26
6 0 1	1.320	33

Cell: 8.348 11.806 4.176 Å, 90.00 90.00 90.00°
Space group Cmmm (No. 65)
Asymmetric unit:
1 Pr 0.000 0.000 0.000 (multiplicity 2)
2 Nd 0.000 0.500 0.000 (multiplicity 2)
3 Nd 0.250 0.250 0.500 (multiplicity 4)
4 P 0.000 0.251 0.000 (multiplicity 4)
5 P 0.249 0.500 0.500 (multiplicity 4)

Record 11
For NdPb3, a DFT-relaxed cell (GGA-PBE, OQMD) gives the theoretical powder X-ray diffraction pattern in this record (a wavelength of 1.5418 Å).
Kinematic intensities with the Lorentz-polarization factor, no thermal factor.

Principal peaks in the range 2θ from 10° to 80°, sorted by position:
h k l	d (Å)	I/Imax
1 1 1	2.842	100
2 0 0	2.462	51
2 2 0	1.741	36
3 1 1	1.484	44
2 2 2	1.421	13
4 0 0	1.231	6

Cell: 4.923 4.923 4.923 Å, 90.00 90.00 90.00°
Space group Pm-3m (No. 221)
Asymmetric unit:
1 Nd 0.000 0.000 0.000 (multiplicity 1)
2 Pb 0.000 0.500 0.500 (multiplicity 3)

Record 12
For Nd5Pb4, a DFT-relaxed cell (GGA-PBE, OQMD) gives the theoretical powder X-ray diffraction pattern in this record (a wavelength of 1.5418 Å).
Kinematic intensities with the Lorentz-polarization factor, no thermal factor.

Principal peaks in the range 2θ from 10° to 80°, sorted by position:
h k l	d (Å)	I/Imax
1 3 2	3.105	100
2 3 1	3.087	42
2 0 2	2.998	39
2 4 1	2.753	58
3 0 1	2.662	91
3 1 1	2.630	31

Cell: 8.418 16.093 8.540 Å, 90.00 90.00 90.00°
Space group Pnma (No. 62)
Asymmetric unit:
1 Nd 0.029 0.101 0.178 (multiplicity 8)
2 Nd 0.123 0.619 0.340 (multiplicity 8)
3 Nd 0.209 0.250 0.502 (multiplicity 4)
4 Pb 0.075 0.250 0.877 (multiplicity 4)
5 Pb 0.162 0.750 0.645 (multiplicity 4)
6 Pb 0.219 0.042 0.533 (multiplicity 8)

Record 13
For NdPdPb, a DFT-relaxed cell (GGA-PBE, OQMD) gives the theoretical powder X-ray diffraction pattern in this record (a wavelength of 1.5418 Å).
Kinematic intensities with the Lorentz-polarization factor, no thermal factor.

Principal peaks in the range 2θ from 10° to 80°, sorted by position:
h k l	d (Å)	I/Imax
1 0 1	3.638	21
1 0 2	2.765	100
1 1 0	2.414	85
2 0 2	1.819	29
1 1 4	1.465	25
2 1 2	1.453	28

Cell: 4.8290 4.8290 7.3732 Å, 90.00 90.00 120.00°
Space group P6_3mc (No. 186)
Asymmetric unit:
1 Nd 0.0000 0.0000 0.0000 (multiplicity 2)
2 Pd 0.3333 0.6667 0.2925 (multiplicity 2)
3 Pb 0.3333 0.6667 0.7320 (multiplicity 2)